1.
The following is a theoretical PXRD pattern of NaBH4O4. It was derived from DFT lattice parameters and positions (PBE), using CuKα.

Largest 6 diffraction maxima, sorted by position, 2θ from 5° to 70°:
Position (°2θ), intensity, index
16.50, 100, 0 2 0
17.40, 46, 1 1 0
23.08, 53, 0 2 1
30.59, 36, 1 3 -1
35.23, 40, 2 2 0
36.54, 40, 0 2 2

Cell and atoms:
Cell: 6.2449 10.7440 5.9662 Å, 90.00 112.06 90.00°
Sites, in units of the cell vectors:
1 Na 0.2389 0.0169 0.2500
2 Na 0.2389 0.4831 0.7500
3 Na 0.7611 0.5169 0.2500
4 Na 0.7611 0.9831 0.7500
5 B 0.2779 0.5906 0.2243
6 B 0.2779 0.9094 0.7243
7 B 0.7221 0.0906 0.2757
8 B 0.7221 0.4094 0.7757
9 H 0.0096 0.1264 0.5707
10 H 0.0096 0.3736 0.0707
11 H 0.1408 0.6864 0.4310
12 H 0.1408 0.8136 0.9310
13 H 0.3748 0.0896 0.8385
14 H 0.3748 0.4104 0.3385
15 H 0.4976 0.7410 0.3413
16 H 0.4976 0.7590 0.8413
17 H 0.5024 0.2410 0.1587
18 H 0.5024 0.2590 0.6587
19 H 0.6252 0.5896 0.6615
20 H 0.6252 0.9104 0.1615
21 H 0.8592 0.1864 0.0690
22 H 0.8592 0.3136 0.5690
23 H 0.9904 0.6264 0.9293
24 H 0.9904 0.8736 0.4293
25 O 0.1428 0.5982 0.3812
26 O 0.1428 0.9018 0.8812
27 O 0.1550 0.6490 0.9834
28 O 0.1550 0.8510 0.4834
29 O 0.3178 0.0433 0.6840
30 O 0.3178 0.4567 0.1840
31 O 0.4893 0.1505 0.1623
32 O 0.4893 0.3495 0.6623
33 O 0.5107 0.6505 0.3377
34 O 0.5107 0.8495 0.8377
35 O 0.6822 0.5433 0.8160
36 O 0.6822 0.9567 0.3160
37 O 0.8450 0.1490 0.5166
38 O 0.8450 0.3510 0.0166
39 O 0.8572 0.0982 0.1188
40 O 0.8572 0.4018 0.6188

=====

2.
The following is a theoretical PXRD pattern of NaBH8O7. It was derived from DFT lattice parameters and positions (PBE), using CuKα.

Largest 6 diffraction maxima, sorted by position, 2θ from 5° to 70°:
Position (°2θ), intensity, index
16.30, 100, 0 1 1
16.77, 46, 1 1 1
18.64, 48, 1 0 1
29.50, 56, 0 2 0
32.58, 77, 2 1 2
32.95, 68, 0 2 2

Cell and atoms:
Cell: 6.8792 7.0642 7.4173 Å, 69.13 77.86 64.02°
Sites, in units of the cell vectors:
1 Na 0.0000 0.0000 0.0000
2 Na 0.5000 0.0000 0.0000
3 B 0.1858 0.4897 0.3673
4 B 0.8142 0.5103 0.6327
5 H 0.1706 0.8694 0.3475
6 H 0.1734 0.1021 0.3156
7 H 0.1768 0.5358 0.0810
8 H 0.1873 0.4260 0.8261
9 H 0.2526 0.0787 0.6762
10 H 0.4015 0.4623 0.8104
11 H 0.4092 0.8266 0.7479
12 H 0.4799 0.3264 0.4903
13 H 0.5201 0.6736 0.5097
14 H 0.5908 0.1734 0.2521
15 H 0.5985 0.5377 0.1896
16 H 0.7474 0.9213 0.3238
17 H 0.8127 0.5740 0.1739
18 H 0.8232 0.4642 0.9190
19 H 0.8266 0.8979 0.6844
20 H 0.8294 0.1306 0.6525
21 O 0.1023 0.6149 0.1794
22 O 0.1107 0.6308 0.4991
23 O 0.1294 0.2894 0.4630
24 O 0.2086 0.9900 0.2507
25 O 0.3033 0.3978 0.9024
26 O 0.3155 0.9557 0.7933
27 O 0.4250 0.4001 0.3616
28 O 0.5750 0.5999 0.6384
29 O 0.6845 0.0443 0.2067
30 O 0.6967 0.6022 0.0976
31 O 0.7914 0.0100 0.7493
32 O 0.8706 0.7106 0.5370
33 O 0.8893 0.3692 0.5009
34 O 0.8977 0.3851 0.8206

=====

- Which formula does entry 1 have?
  NaBH4O4